Structure and calculated PXRD pattern of CeCrSe3 (a structure optimized by DFT (PBE); Cu Kα, 1.54184 Å).
No peak broadening, texture or thermal motion is included.

Principal peaks in the range 2θ from 5° to 70°, by angle:
| 2θ/deg | I/Imax |
| --- | --- |
| 23.8 | 38 |
| 32.5 | 100 |
| 33.9 | 22 |
| 38.1 | 39 |
| 39.3 | 23 |
| 41.3 | 36 |
| 43.1 | 24 |
| 46.5 | 22 |
| 46.9 | 26 |
| 59.7 | 29 |

Cell and atoms:
a = 7.9395 Å, b = 7.9395 Å, c = 3.8761 Å
α = 90.00°, β = 90.00°, γ = 109.36°
Element x y z (fractional)
1 Ce 0.0000 0.0000 0.0000
2 Ce 0.5000 0.5000 0.5000
3 Cr 0.0000 0.5000 0.0000
4 Cr 0.5000 0.0000 0.0000
5 Se 0.0751 0.3208 0.5000
6 Se 0.3208 0.0751 0.5000
7 Se 0.3295 0.6705 0.0000
8 Se 0.6705 0.3295 0.0000
9 Se 0.6792 0.9249 0.5000
10 Se 0.9249 0.6792 0.5000

---

Structure and calculated PXRD pattern of Pr8NiOs3I4 (a structure optimized by DFT (PBE); Cu Kα, 1.54184 Å).
No peak broadening, texture or thermal motion is included.

Principal peaks in the range 2θ from 5° to 70°, by angle:
| 2θ/deg | I/Imax |
| --- | --- |
| 10.8 | 22 |
| 28.5 | 100 |
| 30.5 | 7 |
| 35.5 | 14 |
| 38.3 | 28 |
| 43.0 | 38 |
| 47.6 | 9 |
| 52.4 | 18 |
| 58.2 | 7 |
| 58.9 | 8 |

Cell and atoms:
a = 9.5450 Å, b = 9.5450 Å, c = 9.5450 Å
α = 52.27°, β = 52.27°, γ = 52.27°
Element x y z (fractional)
1 Pr 0.2230 0.7309 0.7309
2 Pr 0.2294 0.2294 0.2294
3 Pr 0.2691 0.2691 0.7770
4 Pr 0.2691 0.7770 0.2691
5 Pr 0.7310 0.2230 0.7310
6 Pr 0.7310 0.7309 0.2230
7 Pr 0.7706 0.7706 0.7706
8 Pr 0.7770 0.2691 0.2691
9 Ni 0.5000 0.5000 0.5000
10 Os 0.0000 0.0000 0.5000
11 Os 0.0000 0.5000 0.0000
12 Os 0.5000 0.0000 0.0000
13 I 0.0000 0.0000 0.0000
14 I 0.0000 0.5000 0.5000
15 I 0.5000 0.0000 0.5000
16 I 0.5000 0.5000 0.0000

---

Structure and calculated PXRD pattern of CaY6Te8 (a structure optimized by DFT (PBE); Cu Kα, 1.54184 Å).
No peak broadening, texture or thermal motion is included.

Principal peaks in the range 2θ from 5° to 70°, by angle:
| 2θ/deg | I/Imax |
| --- | --- |
| 14.4 | 4 |
| 20.4 | 4 |
| 25.0 | 12 |
| 28.9 | 100 |
| 41.4 | 74 |
| 49.0 | 6 |
| 51.3 | 26 |
| 60.0 | 12 |
| 66.0 | 2 |
| 68.0 | 33 |

Cell and atoms:
a = 8.7243 Å, b = 8.7243 Å, c = 8.7243 Å
α = 60.00°, β = 60.00°, γ = 60.00°
Element x y z (fractional)
1 Ca 0.0000 0.0000 0.0000
2 Y 0.0000 0.0000 0.5000
3 Y 0.0000 0.5000 0.0000
4 Y 0.0000 0.5000 0.5000
5 Y 0.5000 0.0000 0.0000
6 Y 0.5000 0.0000 0.5000
7 Y 0.5000 0.5000 0.0000
8 Te 0.2500 0.2500 0.2500
9 Te 0.2568 0.2568 0.7432
10 Te 0.2568 0.7432 0.2568
11 Te 0.2568 0.7432 0.7432
12 Te 0.7432 0.2568 0.2568
13 Te 0.7432 0.2568 0.7432
14 Te 0.7432 0.7432 0.2568
15 Te 0.7500 0.7500 0.7500

---

Structure and calculated PXRD pattern of Sm4Sb (a structure optimized by DFT (PBE); Cu Kα, 1.54184 Å).
No peak broadening, texture or thermal motion is included.

Principal peaks in the range 2θ from 5° to 70°, by angle:
| 2θ/deg | I/Imax |
| --- | --- |
| 15.1 | 16 |
| 21.4 | 14 |
| 26.3 | 85 |
| 30.5 | 100 |
| 34.2 | 8 |
| 43.7 | 75 |
| 51.7 | 41 |
| 54.2 | 26 |
| 63.5 | 12 |
| 70.0 | 16 |

Cell and atoms:
a = 5.8616 Å, b = 5.8616 Å, c = 5.8616 Å
α = 90.00°, β = 90.00°, γ = 90.00°
Element x y z (fractional)
1 Sm 0.0000 0.0000 0.0000
2 Sm 0.0000 0.5000 0.5000
3 Sm 0.5000 0.0000 0.5000
4 Sm 0.5000 0.5000 0.0000
5 Sb 0.5000 0.5000 0.5000

---

Structure and calculated PXRD pattern of Er3Pb (a structure optimized by DFT (PBE); Cu Kα, 1.54184 Å).
No peak broadening, texture or thermal motion is included.

Principal peaks in the range 2θ from 5° to 70°, by angle:
| 2θ/deg | I/Imax |
| --- | --- |
| 20.9 | 1 |
| 32.1 | 100 |
| 34.1 | 21 |
| 38.7 | 30 |
| 52.5 | 25 |
| 55.9 | 11 |
| 59.7 | 17 |
| 66.0 | 26 |
| 67.1 | 12 |

Cell and atoms:
a = 4.6499 Å, b = 4.6499 Å, c = 10.5315 Å
α = 90.00°, β = 90.00°, γ = 90.00°
Element x y z (fractional)
1 Er 0.0000 0.0000 0.0000
2 Er 0.0000 0.5000 0.2500
3 Er 0.0000 0.5000 0.7500
4 Er 0.5000 0.0000 0.2500
5 Er 0.5000 0.0000 0.7500
6 Er 0.5000 0.5000 0.5000
7 Pb 0.0000 0.0000 0.5000
8 Pb 0.5000 0.5000 0.0000

---

Structure and calculated PXRD pattern of Na7Hg12Bi (a structure optimized by DFT (PBE); Cu Kα, 1.54184 Å).
No peak broadening, texture or thermal motion is included.

Principal peaks in the range 2θ from 5° to 70°, by angle:
| 2θ/deg | I/Imax |
| --- | --- |
| 14.2 | 25 |
| 20.5 | 23 |
| 25.3 | 100 |
| 34.0 | 24 |
| 35.6 | 58 |
| 39.3 | 27 |
| 42.3 | 36 |
| 43.5 | 24 |
| 44.9 | 30 |
| 66.6 | 23 |

Cell and atoms:
a = 10.1217 Å, b = 10.1217 Å, c = 10.1217 Å
α = 115.02°, β = 115.02°, γ = 115.02°
Element x y z (fractional)
1 Na 0.0000 0.0000 0.0000
2 Na 0.0745 0.7163 0.7163
3 Na 0.2837 0.2837 0.9255
4 Na 0.2837 0.9255 0.2837
5 Na 0.7163 0.0745 0.7163
6 Na 0.7163 0.7163 0.0745
7 Na 0.9255 0.2837 0.2837
8 Hg 0.1739 0.1739 0.4528
9 Hg 0.1739 0.4528 0.1739
10 Hg 0.2321 0.5000 0.7679
11 Hg 0.2321 0.7679 0.5000
12 Hg 0.4528 0.1739 0.1739
13 Hg 0.5000 0.2321 0.7679
14 Hg 0.5000 0.7679 0.2321
15 Hg 0.5472 0.8261 0.8261
16 Hg 0.7679 0.2321 0.5000
17 Hg 0.7679 0.5000 0.2321
18 Hg 0.8261 0.5472 0.8261
19 Hg 0.8261 0.8261 0.5472
20 Bi 0.5000 0.5000 0.5000

---

Structure and calculated PXRD pattern of Nd7Tm5 (a structure optimized by DFT (PBE); Cu Kα, 1.54184 Å).
No peak broadening, texture or thermal motion is included.

Principal peaks in the range 2θ from 5° to 70°, by angle:
| 2θ/deg | I/Imax |
| --- | --- |
| 29.5 | 40 |
| 29.7 | 21 |
| 30.7 | 50 |
| 32.4 | 100 |
| 32.6 | 47 |
| 36.8 | 22 |
| 50.6 | 25 |
| 55.6 | 27 |
| 60.1 | 15 |
| 60.3 | 15 |

Cell and atoms:
a = 9.5288 Å, b = 9.5288 Å, c = 13.2154 Å
α = 117.48°, β = 117.48°, γ = 21.95°
Element x y z (fractional)
1 Nd 0.0000 0.0000 0.0000
2 Nd 0.1393 0.1393 0.7516
3 Nd 0.1677 0.1677 0.5047
4 Nd 0.4712 0.4712 0.7501
5 Nd 0.5288 0.5288 0.2499
6 Nd 0.8323 0.8323 0.4953
7 Nd 0.8607 0.8607 0.2484
8 Tm 0.1941 0.1941 0.2467
9 Tm 0.3314 0.3314 0.9975
10 Tm 0.5000 0.5000 0.5000
11 Tm 0.6686 0.6686 0.0025
12 Tm 0.8059 0.8059 0.7533

---

Q: Which formula does entry 1 have?
A: CeCrSe3